1.
For K6Mn2P, a structure optimized by DFT (PBE) gives the theoretical powder diffraction line list in this record (Cu Kα X-rays).

a = 8.7265 Å, b = 8.7265 Å, c = 13.0202 Å
α = 90.00°, β = 90.00°, γ = 119.92°
Element x y z (fractional)
K  0.0047  0.5101  0.5000
K  0.0048  0.9952  0.4999
K  0.1941  0.3470  0.7504
K  0.3470  0.1941  0.2504
K  0.3473  0.6527  0.2506
K  0.4899  0.9953  0.5000
K  0.5101  0.0047  0.0000
K  0.6527  0.3473  0.7506
K  0.6530  0.8059  0.7504
K  0.8059  0.6530  0.2504
K  0.9952  0.0048  0.9999
K  0.9953  0.4899  0.0000
Mn  0.1667  0.8333  0.7524
Mn  0.5001  0.4999  0.0016
Mn  0.4999  0.5001  0.5016
Mn  0.8333  0.1667  0.2524
P  0.1667  0.8333  0.3527
P  0.8333  0.1667  0.8527

The 10 most intense peaks (2θ from 10° to 90°), most intense first:
d = 3.269 Å, I 100.0
d = 3.630 Å, I 33.0
d = 2.182 Å, I 29.0
d = 3.255 Å, I 24.8
d = 1.815 Å, I 22.4
d = 2.851 Å, I 17.4
d = 1.882 Å, I 15.7
d = 1.812 Å, I 14.9
d = 2.144 Å, I 12.1
d = 1.396 Å, I 10.7

=====

2.
For K2Mn2P3, a structure optimized by DFT (PBE) gives the theoretical powder diffraction line list in this record (Cu Kα X-rays).

a = 6.1341 Å, b = 6.5613 Å, c = 7.4997 Å
α = 90.00°, β = 110.21°, γ = 90.00°
Element x y z (fractional)
K  0.1826  0.0867  0.4176
K  0.1826  0.4133  0.9176
K  0.8174  0.5867  0.0824
K  0.8174  0.9133  0.5824
Mn  0.3506  0.5906  0.5736
Mn  0.3506  0.9094  0.0736
Mn  0.6494  0.0906  0.9264
Mn  0.6494  0.4094  0.4264
P  0.0000  0.0000  0.0000
P  0.0000  0.5000  0.5000
P  0.4122  0.6710  0.3059
P  0.4122  0.8290  0.8059
P  0.5878  0.1710  0.1941
P  0.5878  0.3290  0.6941

The 10 most intense peaks (2θ from 10° to 90°), most intense first:
d = 2.332 Å, I 100.0
d = 2.815 Å, I 99.5
d = 4.799 Å, I 88.5
d = 3.321 Å, I 85.4
d = 2.636 Å, I 78.7
d = 2.497 Å, I 68.8
d = 5.756 Å, I 47.5
d = 2.739 Å, I 46.2
d = 3.519 Å, I 40.3
d = 1.596 Å, I 35.6

=====

3.
For K2MnP2S6, a structure optimized by DFT (PBE) gives the theoretical powder diffraction line list in this record (Cu Kα X-rays).

a = 6.1816 Å, b = 12.4828 Å, c = 8.7928 Å
α = 90.00°, β = 120.87°, γ = 90.00°
Element x y z (fractional)
K  0.1661  0.1892  0.4633
K  0.1661  0.3108  0.9633
K  0.8339  0.6892  0.0367
K  0.8339  0.8108  0.5367
Mn  0.5000  0.0000  0.0000
Mn  0.5000  0.5000  0.5000
P  0.1496  0.5255  0.6368
P  0.1496  0.9745  0.1368
P  0.8504  0.0255  0.8632
P  0.8504  0.4745  0.3632
S  0.0514  0.0486  0.7417
S  0.0514  0.4514  0.2417
S  0.3131  0.6573  0.6017
S  0.3131  0.8427  0.1017
S  0.4061  0.0956  0.2304
S  0.4061  0.4044  0.7304
S  0.5939  0.5956  0.2696
S  0.5939  0.9044  0.7696
S  0.6869  0.1573  0.8983
S  0.6869  0.3427  0.3983
S  0.9486  0.5486  0.7583
S  0.9486  0.9514  0.2583

The 10 most intense peaks (2θ from 10° to 90°), most intense first:
d = 6.459 Å, I 100.0
d = 6.241 Å, I 56.4
d = 2.772 Å, I 53.5
d = 3.095 Å, I 47.2
d = 3.428 Å, I 41.3
d = 2.559 Å, I 34.9
d = 3.644 Å, I 27.2
d = 2.523 Å, I 19.5
d = 2.340 Å, I 18.6
d = 2.717 Å, I 18.2

=====

4.
For K2MnPS4, a structure optimized by DFT (PBE) gives the theoretical powder diffraction line list in this record (Cu Kα X-rays).

a = 13.1349 Å, b = 11.8565 Å, c = 7.1177 Å
α = 83.63°, β = 63.78°, γ = 32.59°
Element x y z (fractional)
K  0.0548  0.0548  0.6952
K  0.3048  0.3048  0.9452
K  0.6952  0.6952  0.0548
K  0.9452  0.9452  0.3048
Mn  0.1250  0.1250  0.1250
Mn  0.8750  0.8750  0.8750
P  0.3750  0.3750  0.3750
P  0.6250  0.6250  0.6250
S  0.0089  0.6427  0.5542
S  0.2942  0.5542  0.6427
S  0.3573  0.9911  0.7058
S  0.4458  0.7058  0.9911
S  0.5542  0.2942  0.0089
S  0.6427  0.0089  0.2942
S  0.7058  0.4458  0.3573
S  0.9911  0.3573  0.4458

The 10 most intense peaks (2θ from 10° to 90°), most intense first:
d = 2.786 Å, I 100.0
d = 5.728 Å, I 92.9
d = 5.605 Å, I 80.5
d = 3.189 Å, I 74.4
d = 3.283 Å, I 68.8
d = 2.387 Å, I 48.3
d = 3.469 Å, I 41.0
d = 1.755 Å, I 37.8
d = 1.834 Å, I 33.4
d = 2.762 Å, I 29.0

=====

5.
For KPa2MnS8, a structure optimized by DFT (PBE) gives the theoretical powder diffraction line list in this record (Cu Kα X-rays).

a = 5.9742 Å, b = 5.9742 Å, c = 9.0125 Å
α = 90.00°, β = 90.00°, γ = 120.00°
Element x y z (fractional)
K  0.0000  0.0000  0.0000
Pa  0.3333  0.6667  0.3809
Pa  0.6667  0.3333  0.6191
Mn  0.0000  0.0000  0.5000
S  0.1742  0.3484  0.6529
S  0.1742  0.8258  0.6529
S  0.3333  0.6667  0.1132
S  0.3484  0.1742  0.3471
S  0.6516  0.8258  0.6529
S  0.6667  0.3333  0.8868
S  0.8258  0.1742  0.3471
S  0.8258  0.6516  0.3471

The 10 most intense peaks (2θ from 10° to 90°), most intense first:
d = 4.487 Å, I 100.0
d = 2.487 Å, I 76.6
d = 2.987 Å, I 75.0
d = 2.244 Å, I 56.8
d = 3.398 Å, I 51.9
d = 2.598 Å, I 43.4
d = 1.960 Å, I 31.4
d = 2.835 Å, I 28.4
d = 1.478 Å, I 23.4
d = 1.911 Å, I 22.9

=====

6.
For K2PaMnS6, a structure optimized by DFT (PBE) gives the theoretical powder diffraction line list in this record (Cu Kα X-rays).

a = 6.9584 Å, b = 6.9584 Å, c = 6.9584 Å
α = 60.00°, β = 60.00°, γ = 60.00°
Element x y z (fractional)
K  0.2500  0.2500  0.2500
K  0.7500  0.7500  0.7500
Pa  0.0000  0.0000  0.0000
Mn  0.5000  0.5000  0.5000
S  0.2640  0.2640  0.7360
S  0.2640  0.7360  0.2640
S  0.2640  0.7360  0.7360
S  0.7360  0.2640  0.2640
S  0.7360  0.2640  0.7360
S  0.7360  0.7360  0.2640

The 10 most intense peaks (2θ from 10° to 90°), most intense first:
d = 3.479 Å, I 100.0
d = 4.920 Å, I 93.8
d = 2.460 Å, I 68.7
d = 5.681 Å, I 49.6
d = 2.200 Å, I 45.3
d = 2.967 Å, I 44.9
d = 1.740 Å, I 44.8
d = 2.009 Å, I 42.9
d = 2.258 Å, I 27.6
d = 1.640 Å, I 22.9